No. 1
# TcOsPt
Calculated PXRD pattern, Cu Kα. Input: the PBE geometry in Alexandria.

```
data_TcOsPt
_chemical_formula_sum 'Tc3 Os3 Pt3'
_cell_length_a 2.7581
_cell_length_b 2.7581
_cell_length_c 20.2841
_cell_angle_alpha 90.00
_cell_angle_beta 90.00
_cell_angle_gamma 120.00
_space_group_name_H-M_alt 'R 3 m'
_space_group_IT_number 160
_space_group_name_Hall 'R 3 -2"'
loop_
_atom_site_label
_atom_site_type_symbol
_atom_site_fract_x
_atom_site_fract_y
_atom_site_fract_z
_atom_site_occupancy
Tc1 Tc 0.0000 0.0000 0.0000 1
Os1 Os 0.0000 0.0000 0.2308 1
Pt1 Pt 0.0000 0.0000 0.7831 1
```

The 10 most intense peaks (2θ = 10–90°), by intensity:
2θ/deg, Rel. int.
41.80, 100
43.99, 77
40.00, 53
38.73, 52
81.90, 40
67.98, 34
49.45, 25
37.93, 22
72.34, 21
13.09, 20

---

No. 2
# Si23Tc4
Calculated PXRD pattern, Cu Kα. Input: the PBE geometry in Alexandria.

```
data_Si23Tc4
_chemical_formula_sum 'Si46 Tc8'
_cell_length_a 10.0622
_cell_length_b 10.0622
_cell_length_c 10.0622
_cell_angle_alpha 90.00
_cell_angle_beta 90.00
_cell_angle_gamma 90.00
_space_group_name_H-M_alt 'P m -3 n'
_space_group_IT_number 223
_space_group_name_Hall '-P 4n 2 3'
loop_
_atom_site_label
_atom_site_type_symbol
_atom_site_fract_x
_atom_site_fract_y
_atom_site_fract_z
_atom_site_occupancy
Si1 Si 0.0000 0.1156 0.3108 1
Si2 Si 0.0000 0.2500 0.5000 1
Si3 Si 0.1825 0.1825 0.1825 1
Tc1 Tc 0.0000 0.0000 0.0000 1
Tc2 Tc 0.0000 0.5000 0.2500 1
```

The 10 most intense peaks (2θ = 10–90°), by intensity:
2θ/deg, Rel. int.
33.32, 100
32.07, 42
56.37, 38
30.78, 27
35.69, 20
54.73, 18
53.07, 16
19.73, 15
21.63, 14
68.53, 12

---

No. 3
# SmTmZnCd
Calculated PXRD pattern, Cu Kα. Input: the PBE geometry in Alexandria.

```
data_SmTmZnCd
_chemical_formula_sum 'Sm1 Tm1 Zn1 Cd1'
_cell_length_a 3.5924
_cell_length_b 3.5924
_cell_length_c 7.6391
_cell_angle_alpha 90.00
_cell_angle_beta 90.00
_cell_angle_gamma 90.00
_space_group_name_H-M_alt 'P 4 m m'
_space_group_IT_number 99
_space_group_name_Hall 'P 4 -2'
loop_
_atom_site_label
_atom_site_type_symbol
_atom_site_fract_x
_atom_site_fract_y
_atom_site_fract_z
_atom_site_occupancy
Sm1 Sm 0.0000 0.0000 0.0000 1
Tm1 Tm 0.0000 0.0000 0.4601 1
Zn1 Zn 0.5000 0.5000 0.2469 1
Cd1 Cd 0.5000 0.5000 0.7156 1
```

The 10 most intense peaks (2θ = 10–90°), by intensity:
2θ/deg, Rel. int.
34.27, 100
35.33, 51
62.74, 34
50.82, 21
60.66, 17
72.19, 11
85.47, 8
47.62, 8
24.78, 8
84.86, 7